The following is a theoretical powder XRD pattern of Sn4Sb3I. It was derived from a DFT-relaxed cell (GGA-PBE, Alexandria), using Cu Kα (weighted mean of Kα1 and Kα2).
No peak broadening, texture or thermal motion is included.

Largest 12 diffraction maxima, sorted by position, 2θ from 10° to 90°:
d/Å	two_theta	Rel. int.
3.198	27.90	52
3.146	28.37	100
2.243	40.21	77
2.230	40.44	18
2.219	40.66	19
1.829	49.85	20
1.823	50.04	21
1.573	58.70	12
1.425	65.48	17
1.411	66.24	25
1.290	73.40	11
1.286	73.70	13

Structural model:
Lattice parameters (Å, degrees): 4.437 7.798 7.798 110.22 90.00 90.00
Atoms (fractional coordinates):
Sn  0.000  0.000  0.000
Sn  0.000  0.458  0.458
Sn  0.500  0.464  0.992
Sn  0.500  0.992  0.464
Sb  0.000  0.229  0.729
Sb  0.000  0.729  0.229
Sb  0.500  0.229  0.229
I  0.500  0.729  0.729